This entry pairs a crystal structure of NaTlCrF6 with its computed X-ray diffraction stick pattern. Radiation: Cu Kα, 1.54184 Å. Structure: a cell relaxed with GGA+U.
Kinematic intensities with the Lorentz-polarization factor, no thermal factor.

Crystal structure
```
data_NaTlCrF6
_chemical_formula_sum 'Na2 Tl2 Cr2 F12'
_symmetry_space_group_name_H-M 'P 1'
_symmetry_Int_Tables_number 1
_cell_length_a 5.9168
_cell_length_b 5.9168
_cell_length_c 8.9639
_cell_angle_alpha 90.00
_cell_angle_beta 90.00
_cell_angle_gamma 120.00
loop_
_symmetry_equiv_pos_as_xyz
'x,y,z'
loop_
_atom_site_label
_atom_site_fract_x
_atom_site_fract_y
_atom_site_fract_z
Na1 0.0000 0.0000 0.0000
Na2 0.0000 0.0000 0.5000
Tl1 0.3333 0.6667 0.2500
Tl2 0.6667 0.3333 0.7500
Cr1 0.3333 0.6667 0.7500
Cr2 0.6667 0.3333 0.2500
F1 0.0647 0.3875 0.6303
F2 0.0647 0.6772 0.8697
F3 0.3228 0.3875 0.8697
F4 0.3228 0.9353 0.6303
F5 0.3875 0.0647 0.1303
F6 0.3875 0.3228 0.3697
F7 0.6125 0.6772 0.6303
F8 0.6125 0.9353 0.8697
F9 0.6772 0.0647 0.3697
F10 0.6772 0.6125 0.1303
F11 0.9353 0.3228 0.1303
F12 0.9353 0.6125 0.3697
```

Top 12 peaks for 10° ≤ 2θ ≤ 90°, most intense first:
| 2θ/deg | I/Imax | index |
| --- | --- | --- |
| 36.41 | 100 | 1 1 2 |
| 26.42 | 66 | 1 0 2 |
| 19.96 | 58 | 1 0 1 |
| 19.81 | 53 | 0 0 2 |
| 30.21 | 52 | 1 1 0 |
| 17.31 | 50 | 1 0 0 |
| 51.13 | 47 | 1 1 4 |
| 34.76 | 28 | 1 0 3 |
| 48.06 | 24 | 3 -1 1 |
| 53.66 | 23 | 3 0 0 |
| 51.40 | 21 | 2 1 2 |
| 40.56 | 20 | 2 0 2 |


This entry pairs a crystal structure of TlCrNiF6 with its computed X-ray diffraction stick pattern. Radiation: Cu Kα, 1.54184 Å. Structure: a cell relaxed with GGA+U.
Kinematic intensities with the Lorentz-polarization factor, no thermal factor.

Crystal structure
```
data_TlCrNiF6
_chemical_formula_sum 'Tl1 Cr1 Ni1 F6'
_symmetry_space_group_name_H-M 'P 1'
_symmetry_Int_Tables_number 1
_cell_length_a 5.3226
_cell_length_b 5.3285
_cell_length_c 6.1045
_cell_angle_alpha 90.07
_cell_angle_beta 90.19
_cell_angle_gamma 119.71
loop_
_symmetry_equiv_pos_as_xyz
'x,y,z'
loop_
_atom_site_label
_atom_site_fract_x
_atom_site_fract_y
_atom_site_fract_z
Tl1 0.0000 0.0000 0.0000
Cr1 0.6668 0.3331 0.5000
Ni1 0.3331 0.6673 0.5000
F1 0.3781 0.3670 0.3228
F2 0.3809 0.0134 0.6774
F3 0.6313 0.0105 0.3229
F4 0.6334 0.6213 0.6773
F5 0.9862 0.6192 0.3227
F6 0.9901 0.3685 0.6771
```

Top 12 peaks for 10° ≤ 2θ ≤ 90°, most intense first:
| 2θ/deg | I/Imax | index |
| --- | --- | --- |
| 24.12 | 100 | 0 1 1 |
| 24.21 | 99 | 1 -1 1 |
| 45.17 | 36 | -1 2 2 |
| 19.22 | 34 | 1 0 0 |
| 33.66 | 28 | 2 -1 0 |
| 41.74 | 20 | 0 2 1 |
| 41.91 | 19 | 2 0 1 |
| 54.77 | 18 | -2 3 1 |
| 29.26 | 17 | 0 0 2 |
| 36.78 | 17 | 1 -2 1 |
| 44.96 | 16 | 1 1 -2 |
| 45.28 | 15 | 2 -1 2 |